Entry 1:
Structure and computed XRD peak list of Ta4Cu2O11 (a cell relaxed with GGA-PBE; copper Kα).

The 6 most intense peaks (2θ from 10° to 90°), in order of falling intensity:
29.55°, I 100; 28.37°, I 89; 16.79°, I 52; 28.70°, I 46; 14.08°, I 44; 32.07°, I 44

Cell and atoms:
```
Ta4Cu2O11
1.0
5.343 -3.208 0.000
5.343 3.208 0.000
-3.519 0.000 12.584
Ta Cu O
8 4 22
Direct
0.000 0.500 0.500
0.083 0.917 0.750
0.263 0.370 0.248
0.370 0.263 0.748
0.500 0.000 0.000
0.630 0.737 0.252
0.737 0.630 0.752
0.917 0.083 0.250
0.000 0.000 0.000
0.000 0.000 0.500
0.500 0.500 0.000
0.500 0.500 0.500
0.006 0.734 0.247
0.051 0.787 0.593
0.084 0.608 0.776
0.213 0.949 0.907
0.251 0.278 0.598
0.254 0.431 0.409
0.266 0.994 0.253
0.278 0.251 0.098
0.392 0.916 0.724
0.431 0.254 0.909
0.481 0.519 0.250
0.519 0.481 0.750
0.569 0.746 0.091
0.608 0.084 0.276
0.722 0.749 0.902
0.734 0.006 0.747
0.746 0.569 0.591
0.749 0.722 0.402
0.787 0.051 0.093
0.916 0.392 0.224
0.949 0.213 0.407
0.994 0.266 0.753
```

---

Entry 2:
Structure and computed XRD peak list of Er5Tl2C (a cell relaxed with GGA-PBE; copper Kα).

The 6 most intense peaks (2θ from 10° to 90°), in order of falling intensity:
32.94°, I 100; 18.94°, I 54; 36.75°, I 47; 29.07°, I 41; 35.10°, I 33; 44.66°, I 32

Cell and atoms:
```
Er5Tl2C
1.0
2.446 -8.173 0.000
2.446 8.173 0.000
0.000 0.000 12.204
Er Tl C
10 4 2
Direct
0.093 0.907 0.611
0.093 0.907 0.889
0.291 0.709 0.250
0.294 0.706 0.588
0.294 0.706 0.912
0.706 0.294 0.088
0.706 0.294 0.412
0.709 0.291 0.750
0.907 0.093 0.111
0.907 0.093 0.389
0.096 0.904 0.133
0.096 0.904 0.367
0.904 0.096 0.633
0.904 0.096 0.867
0.192 0.808 0.750
0.808 0.192 0.250
```

---

Entry 3:
Structure and computed XRD peak list of Ac3BiAs2Rh9 (a cell relaxed with GGA-PBE; copper Kα).

The 6 most intense peaks (2θ from 10° to 90°), in order of falling intensity:
37.73°, I 100; 34.00°, I 55; 58.34°, I 41; 24.55°, I 33; 28.20°, I 32; 47.76°, I 26

Cell and atoms:
```
Ac3BiAs2Rh9
1.0
6.329 0.000 0.000
-3.164 5.481 0.000
0.000 0.000 9.674
Ac Bi As Rh
3 1 2 9
Direct
0.000 0.000 0.000
0.333 0.667 0.709
0.667 0.333 0.291
0.000 0.000 0.500
0.333 0.667 0.162
0.667 0.333 0.838
0.000 0.500 0.000
0.146 0.293 0.275
0.146 0.854 0.275
0.293 0.146 0.725
0.500 0.000 0.000
0.500 0.500 0.000
0.707 0.854 0.275
0.854 0.146 0.725
0.854 0.707 0.725
```

---

Entry 4:
Structure and computed XRD peak list of Sb4O5F2 (a cell relaxed with GGA-PBE; copper Kα).

The 6 most intense peaks (2θ from 10° to 90°), in order of falling intensity:
24.99°, I 100; 29.89°, I 93; 29.49°, I 91; 27.88°, I 73; 24.74°, I 57; 43.35°, I 47

Cell and atoms:
```
Sb4O5F2
1.0
11.112 0.000 0.000
0.000 5.510 0.000
-2.942 0.000 14.032
Sb O F
16 20 8
Direct
0.066 0.000 0.197
0.072 0.985 0.926
0.197 0.679 0.666
0.256 0.605 0.412
0.311 0.588 0.137
0.342 0.180 0.814
0.382 0.102 0.534
0.415 0.101 0.269
0.585 0.601 0.731
0.618 0.602 0.466
0.658 0.680 0.186
0.689 0.088 0.863
0.744 0.105 0.588
0.803 0.179 0.334
0.928 0.485 0.074
0.934 0.500 0.803
0.039 0.784 0.081
0.080 0.288 0.115
0.262 0.911 0.201
0.266 0.744 0.549
0.289 0.371 0.696
0.307 0.411 0.258
0.332 0.870 0.744
0.353 0.925 0.405
0.413 0.420 0.459
0.480 0.733 0.191
0.520 0.233 0.809
0.587 0.920 0.541
0.647 0.425 0.595
0.668 0.370 0.256
0.693 0.911 0.742
0.711 0.871 0.304
0.734 0.244 0.451
0.738 0.411 0.799
0.920 0.788 0.885
0.961 0.284 0.919
0.075 0.075 0.786
0.129 0.597 0.850
0.201 0.239 0.487
0.421 0.235 0.128
0.579 0.735 0.872
0.799 0.739 0.513
0.871 0.097 0.150
0.925 0.575 0.214
```

---

Entry 5:
Structure and computed XRD peak list of Ba3Ga2Sb4 (a cell relaxed with GGA-PBE; copper Kα).

The 6 most intense peaks (2θ from 10° to 90°), in order of falling intensity:
23.53°, I 100; 30.51°, I 85; 26.39°, I 67; 22.50°, I 60; 33.49°, I 60; 31.27°, I 54

Cell and atoms:
```
Ba3Ga2Sb4
1.0
7.571 -5.857 0.000
7.571 5.857 0.000
-0.028 0.000 7.553
Ba Ga Sb
6 4 8
Direct
0.103 0.897 0.750
0.251 0.499 0.462
0.499 0.251 0.962
0.501 0.749 0.038
0.749 0.501 0.538
0.897 0.103 0.250
0.086 0.323 0.926
0.323 0.086 0.426
0.677 0.914 0.574
0.914 0.677 0.074
0.074 0.241 0.583
0.201 0.558 0.976
0.241 0.074 0.083
0.442 0.799 0.524
0.558 0.201 0.476
0.759 0.926 0.917
0.799 0.442 0.024
0.926 0.759 0.417
```

---

Entry 6:
Structure and computed XRD peak list of Co2Se3S (a cell relaxed with GGA-PBE; copper Kα).

The 6 most intense peaks (2θ from 10° to 90°), in order of falling intensity:
34.55°, I 100; 35.09°, I 52; 17.06°, I 50; 53.34°, I 35; 46.12°, I 29; 46.63°, I 21

Cell and atoms:
```
Co2Se3S
1.0
5.933 -1.721 0.000
5.933 1.721 0.000
-5.742 0.000 10.417
Co Se S
4 6 2
Direct
0.244 0.244 0.365
0.247 0.247 0.865
0.753 0.753 0.135
0.756 0.756 0.635
0.133 0.133 0.489
0.133 0.133 0.984
0.384 0.384 0.773
0.616 0.616 0.227
0.867 0.867 0.016
0.867 0.867 0.511
0.358 0.358 0.262
0.642 0.642 0.738
```

---

Entry 7:
Structure and computed XRD peak list of YPbI5 (a cell relaxed with GGA-PBE; copper Kα).

The 6 most intense peaks (2θ from 10° to 90°), in order of falling intensity:
10.90°, I 100; 25.36°, I 74; 28.01°, I 58; 27.68°, I 36; 40.11°, I 33; 28.62°, I 26

Cell and atoms:
```
YPbI5
1.0
9.268 0.000 0.000
0.000 4.495 0.000
-1.040 0.000 14.953
Y Pb I
2 2 10
Direct
0.090 0.250 0.150
0.910 0.750 0.850
0.404 0.750 0.363
0.596 0.250 0.637
0.114 0.250 0.797
0.140 0.250 0.361
0.176 0.750 0.015
0.352 0.750 0.573
0.417 0.250 0.180
0.583 0.750 0.820
0.648 0.250 0.427
0.824 0.250 0.985
0.860 0.750 0.639
0.886 0.750 0.203
```

---

Entry 8:
Structure and computed XRD peak list of Na6Hg12Pt (a cell relaxed with GGA-PBE; copper Kα).

The 6 most intense peaks (2θ from 10° to 90°), in order of falling intensity:
35.30°, I 100; 37.43°, I 91; 32.92°, I 69; 24.50°, I 64; 15.26°, I 52; 34.47°, I 46

Cell and atoms:
```
Na6Hg12Pt
1.0
5.805 3.351 4.127
-5.805 3.351 4.127
0.000 -6.703 4.127
Na Hg Pt
6 12 1
Direct
0.207 0.757 0.375
0.243 0.625 0.793
0.375 0.207 0.757
0.625 0.793 0.243
0.757 0.375 0.207
0.793 0.243 0.625
0.032 0.952 0.707
0.048 0.293 0.968
0.144 0.379 0.464
0.293 0.968 0.048
0.379 0.464 0.144
0.464 0.144 0.379
0.536 0.856 0.621
0.621 0.536 0.856
0.707 0.032 0.952
0.856 0.621 0.536
0.952 0.707 0.032
0.968 0.048 0.293
0.500 0.500 0.500
```